Record 1
LaSm3Sb4: computed XRD peak list (copper Kα), based on a structure optimized by DFT (GGA-PBE).
Intensities are scaled so that the largest is 100.

The 9 most intense peaks (10° ≤ 2θ ≤ 90°), by angle:
| (hkl) | two_theta | Rel. int. |
| --- | --- | --- |
| 1 1 1 | 24.17 | 2 |
| 2 0 0 | 27.98 | 100 |
| 2 2 0 | 39.98 | 77 |
| 3 1 1 | 47.27 | 1 |
| 2 2 2 | 49.51 | 27 |
| 4 0 0 | 57.83 | 13 |
| 4 2 0 | 65.44 | 35 |
| 4 2 2 | 72.62 | 26 |
| 4 4 0 | 86.28 | 8 |

Structural model:
```
data_LaSm3Sb4
_chemical_formula_sum 'La1 Sm3 Sb4'
_space_group_name_H-M_alt 'P m -3 m'
_space_group_IT_number 221
_space_group_name_Hall '-P 4 2 3'
_cell_length_a 6.378
_cell_length_b 6.378
_cell_length_c 6.378
_cell_angle_alpha 90.00
_cell_angle_beta 90.00
_cell_angle_gamma 90.00
loop_
_atom_site_label
_atom_site_type_symbol
_atom_site_fract_x
_atom_site_fract_y
_atom_site_fract_z
La1 La 0.000 0.000 0.000
Sm1 Sm 0.000 0.500 0.500
Sb1 Sb 0.000 0.000 0.500
Sb2 Sb 0.500 0.500 0.500
```


Record 2
Cr2GaRh8: computed XRD peak list (copper Kα), based on a structure optimized by DFT (GGA-PBE).
Intensities are scaled so that the largest is 100.

The 10 most intense peaks (10° ≤ 2θ ≤ 90°), by angle:
| (hkl) | two_theta | Rel. int. |
| --- | --- | --- |
| 1 0 3 | 32.93 | 10 |
| 0 3 1 | 39.52 | 21 |
| 1 1 4 | 41.58 | 28 |
| 1 2 3 | 42.10 | 100 |
| 2 0 0 | 45.41 | 28 |
| 0 0 6 | 49.05 | 16 |
| 2 3 1 | 61.75 | 11 |
| 2 0 6 | 69.06 | 11 |
| 0 3 7 | 71.81 | 13 |
| 3 2 3 | 81.61 | 14 |

Structural model:
```
data_Cr2GaRh8
_chemical_formula_sum 'Cr4 Ga2 Rh16'
_space_group_name_H-M_alt 'I m m m'
_space_group_IT_number 71
_space_group_name_Hall '-I 2 2'
_cell_length_a 3.994
_cell_length_b 6.989
_cell_length_c 11.143
_cell_angle_alpha 90.00
_cell_angle_beta 90.00
_cell_angle_gamma 90.00
loop_
_atom_site_label
_atom_site_type_symbol
_atom_site_fract_x
_atom_site_fract_y
_atom_site_fract_z
Cr1 Cr 0.000 0.000 0.201
Ga1 Ga 0.000 0.000 0.500
Rh1 Rh 0.000 0.181 0.000
Rh2 Rh 0.000 0.286 0.340
Rh3 Rh 0.000 0.500 0.144
```


Record 3
SrBeSiPt3: computed XRD peak list (copper Kα), based on a structure optimized by DFT (GGA-PBE).
Intensities are scaled so that the largest is 100.

The 10 most intense peaks (10° ≤ 2θ ≤ 90°), by angle:
| (hkl) | two_theta | Rel. int. |
| --- | --- | --- |
| 0 2 0 | 14.86 | 22 |
| 1 1 1 | 22.00 | 17 |
| 0 4 0 | 29.97 | 37 |
| 2 2 0 | 31.19 | 100 |
| 0 2 2 | 34.95 | 84 |
| 2 0 2 | 42.09 | 65 |
| 0 4 2 | 44.04 | 21 |
| 2 4 2 | 52.53 | 29 |
| 4 2 2 | 67.95 | 19 |
| 2 2 4 | 74.45 | 17 |

Structural model:
```
data_SrBeSiPt3
_chemical_formula_sum 'Sr4 Be4 Si4 Pt12'
_space_group_name_H-M_alt 'C m c m'
_space_group_IT_number 63
_space_group_name_Hall '-C 2c 2'
_cell_length_a 6.543
_cell_length_b 11.925
_cell_length_c 5.690
_cell_angle_alpha 90.00
_cell_angle_beta 90.00
_cell_angle_gamma 90.00
loop_
_atom_site_label
_atom_site_type_symbol
_atom_site_fract_x
_atom_site_fract_y
_atom_site_fract_z
Sr1 Sr 0.000 0.235 0.250
Be1 Be 0.000 0.497 0.750
Si1 Si 0.000 0.112 0.750
Pt1 Pt 0.000 0.305 0.750
Pt2 Pt 0.227 0.000 0.000
```


Record 4
Th2ZnRh4: computed XRD peak list (copper Kα), based on a structure optimized by DFT (GGA-PBE).
Intensities are scaled so that the largest is 100.

The 10 most intense peaks (10° ≤ 2θ ≤ 90°), by angle:
| (hkl) | two_theta | Rel. int. |
| --- | --- | --- |
| 1 0 0 | 19.38 | 80 |
| 0 1 0 | 19.91 | 73 |
| 1 1 1 | 23.26 | 67 |
| 0 1 -1 | 26.89 | 72 |
| 1 0 -2 | 34.24 | 92 |
| 1 -1 1 | 36.66 | 100 |
| 0 2 1 | 39.11 | 83 |
| -1 1 2 | 39.47 | 90 |
| 0 0 3 | 40.91 | 77 |
| 2 2 1 | 45.12 | 72 |

Structural model:
```
data_Th2ZnRh4
_chemical_formula_sum 'Th2 Zn1 Rh4'
_space_group_name_H-M_alt 'P -1'
_space_group_IT_number 2
_space_group_name_Hall '-P 1'
_cell_length_a 4.886
_cell_length_b 4.923
_cell_length_c 6.933
_cell_angle_alpha 72.89
_cell_angle_beta 81.52
_cell_angle_gamma 69.81
loop_
_atom_site_label
_atom_site_type_symbol
_atom_site_fract_x
_atom_site_fract_y
_atom_site_fract_z
Th1 Th 0.026 0.144 0.220
Zn1 Zn 0.500 0.500 0.500
Rh1 Rh 0.000 0.500 0.500
Rh2 Rh 0.309 0.189 0.851
Rh3 Rh 0.500 0.000 0.500
```